Record 1
Structure and computed XRD peak list of SmEuGa4 (a crystal structure in Alexandria, relaxed with PBE; CuKα).
Neutral-atom scattering factors, no anomalous dispersion.

Principal peaks in the range 2θ from 5° to 70°, in order of rising 2θ:
| d [Å] | I/Imax |
| --- | --- |
| 2.810 | 55 |
| 2.396 | 100 |
| 2.294 | 19 |
| 1.622 | 21 |
| 1.530 | 32 |
| 1.405 | 25 |

Structural model:
Cell lengths 5.6202, 5.6202, 5.6202 Å; angles 60.00, 60.00, 60.00 degrees
Fractional coordinates of all 6 atoms:
Sm 0.0000 0.0000 0.0000
Eu 0.7500 0.7500 0.7500
Ga 0.3749 0.3749 0.3749
Ga 0.3749 0.3749 0.8754
Ga 0.3749 0.8754 0.3749
Ga 0.8754 0.3749 0.3749



Record 2
Structure and computed XRD peak list of BaBi12Rh4 (a crystal structure in Alexandria, relaxed with PBE; CuKα).
Neutral-atom scattering factors, no anomalous dispersion.

Principal peaks in the range 2θ from 5° to 70°, in order of rising 2θ:
| d [Å] | I/Imax |
| --- | --- |
| 3.125 | 100 |
| 2.641 | 42 |
| 2.210 | 18 |
| 2.017 | 21 |
| 1.938 | 26 |
| 1.457 | 21 |

Structural model:
Cell lengths 8.5579, 8.5579, 8.5579 Å; angles 109.47, 109.47, 109.47 degrees
Fractional coordinates of all 17 atoms:
Ba 0.0000 0.0000 0.0000
Bi 0.1610 0.4998 0.3388
Bi 0.1610 0.8222 0.6612
Bi 0.1778 0.3388 0.8390
Bi 0.3388 0.1610 0.4998
Bi 0.3388 0.8390 0.1778
Bi 0.4998 0.3388 0.1610
Bi 0.5002 0.6612 0.8390
Bi 0.6612 0.1610 0.8222
Bi 0.6612 0.8390 0.5002
Bi 0.8222 0.6612 0.1610
Bi 0.8390 0.1778 0.3388
Bi 0.8390 0.5002 0.6612
Rh 0.0000 0.0000 0.5000
Rh 0.0000 0.5000 0.0000
Rh 0.5000 0.0000 0.0000
Rh 0.5000 0.5000 0.5000



Record 3
Structure and computed XRD peak list of CsPa4S8 (a crystal structure in Alexandria, relaxed with PBE; CuKα).
Neutral-atom scattering factors, no anomalous dispersion.

Principal peaks in the range 2θ from 5° to 70°, in order of rising 2θ:
| d [Å] | I/Imax |
| --- | --- |
| 6.880 | 95 |
| 3.593 | 100 |
| 3.440 | 47 |
| 2.979 | 56 |
| 2.293 | 53 |
| 2.107 | 63 |

Structural model:
Cell lengths 8.4265, 8.4265, 8.4265 Å; angles 60.00, 60.00, 60.00 degrees
Fractional coordinates of all 13 atoms:
Cs 0.0000 0.0000 0.0000
Pa 0.1302 0.6233 0.6233
Pa 0.6233 0.1302 0.6233
Pa 0.6233 0.6233 0.1302
Pa 0.6233 0.6233 0.6233
S 0.3935 0.3935 0.3935
S 0.3935 0.3935 0.8196
S 0.3935 0.8196 0.3935
S 0.4484 0.8505 0.8505
S 0.8196 0.3935 0.3935
S 0.8505 0.4484 0.8505
S 0.8505 0.8505 0.4484
S 0.8505 0.8505 0.8505